[1]
For Pr12TlRh6, a crystal structure in Alexandria, relaxed with GGA-PBE gives the computed X-ray powder pattern in this record (Cu Kα (λ = 1.5418 Å)).
Neutral-atom scattering factors, no anomalous dispersion.

Crystal structure
Cell: 10.297 10.297 10.297 Å, 90.00 90.00 90.00°
Space group Im-3 (No. 204)
Unique sites:
Pr  0.000  0.185  0.305
Tl  0.000  0.000  0.000
Rh  0.000  0.369  0.500

Peak list (8 most intense, 15 to 90 degrees two-theta, low angle first)
| 2theta | intensity | hkl |
| --- | --- | --- |
| 27.4 | 17 | 3 1 0 |
| 30.1 | 25 | 2 2 2 |
| 32.5 | 100 | 3 2 1 |
| 44.9 | 26 | 4 1 3 |
| 51.8 | 20 | 5 0 3 |
| 55.0 | 28 | 5 3 2 |
| 63.9 | 16 | 5 4 3 |
| 80.2 | 15 | 7 5 0 |

[2]
For Na2GaBiTe4, a crystal structure in Alexandria, relaxed with GGA-PBE gives the computed X-ray powder pattern in this record (Cu Kα (λ = 1.5418 Å)).
Neutral-atom scattering factors, no anomalous dispersion.

Crystal structure
Cell: 8.282 8.282 7.439 Å, 90.00 90.00 90.00°
Space group I-42m (No. 121)
Unique sites:
Na  0.000  0.500  0.000
Ga  0.000  0.000  0.000
Bi  0.000  0.000  0.500
Te  0.186  0.186  0.789

Peak list (8 most intense, 15 to 90 degrees two-theta, low angle first)
| 2theta | intensity | hkl |
| --- | --- | --- |
| 15.1 | 69 | 1 1 0 |
| 26.9 | 100 | 2 1 1 |
| 28.4 | 22 | 1 1 2 |
| 30.5 | 45 | 2 2 0 |
| 32.4 | 96 | 2 0 2 |
| 42.2 | 37 | 3 1 2 |
| 46.5 | 19 | 3 3 0 |
| 46.9 | 37 | 4 1 1 |

[3]
For Ce3UN5, a crystal structure in Alexandria, relaxed with GGA-PBE gives the computed X-ray powder pattern in this record (Cu Kα (λ = 1.5418 Å)).
Neutral-atom scattering factors, no anomalous dispersion.

Crystal structure
Cell: 6.795 6.795 12.229 Å, 90.00 90.00 90.00°
Space group I4/mcm (No. 140)
Unique sites:
Ce  0.000  0.000  0.250
Ce  0.178  0.322  0.000
U  0.000  0.500  0.250
N  0.000  0.000  0.000
N  0.167  0.333  0.362

Peak list (8 most intense, 15 to 90 degrees two-theta, low angle first)
| 2theta | intensity | hkl |
| --- | --- | --- |
| 29.2 | 37 | 0 0 4 |
| 30.1 | 100 | 2 0 2 |
| 30.3 | 21 | 2 1 1 |
| 36.9 | 23 | 2 1 3 |
| 37.4 | 26 | 2 2 0 |
| 48.2 | 23 | 2 2 4 |
| 52.3 | 23 | 2 0 6 |
| 60.6 | 13 | 0 0 8 |

[4]
For Sc2CuAuN, a crystal structure in Alexandria, relaxed with GGA-PBE gives the computed X-ray powder pattern in this record (Cu Kα (λ = 1.5418 Å)).
Neutral-atom scattering factors, no anomalous dispersion.

Crystal structure
Cell: 5.121 5.121 3.434 Å, 90.00 90.00 90.00°
Space group P4/mmm (No. 123)
Unique sites:
Sc  0.000  0.500  0.000
Cu  0.000  0.000  0.000
Au  0.500  0.500  0.500
N  0.000  0.000  0.500

Peak list (8 most intense, 15 to 90 degrees two-theta, low angle first)
| 2theta | intensity | hkl |
| --- | --- | --- |
| 17.3 | 39 | 1 0 0 |
| 24.6 | 51 | 1 1 0 |
| 31.4 | 100 | 1 0 1 |
| 35.0 | 80 | 2 0 0 |
| 36.0 | 58 | 1 1 1 |
| 47.7 | 64 | 2 1 1 |
| 50.4 | 27 | 2 2 0 |
| 65.5 | 24 | 2 0 2 |

[5]
For Ba2NaP, a crystal structure in Alexandria, relaxed with GGA-PBE gives the computed X-ray powder pattern in this record (Cu Kα (λ = 1.5418 Å)).
Neutral-atom scattering factors, no anomalous dispersion.

Crystal structure
Cell: 4.6980 4.6980 29.2771 Å, 90.00 90.00 120.00°
Space group R3m (No. 160, hexagonal axes)
Unique sites:
Ba  0.0000  0.0000  0.0000
Ba  0.0000  0.0000  0.2174
Na  0.0000  0.0000  0.4431
P  0.0000  0.0000  0.6083

Peak list (8 most intense, 15 to 90 degrees two-theta, low angle first)
| 2theta | intensity | hkl |
| --- | --- | --- |
| 22.1 | 46 | 1 0 1 |
| 25.0 | 66 | 1 0 4 |
| 26.7 | 100 | 0 1 5 |
| 27.4 | 23 | 0 0 9 |
| 32.9 | 26 | 0 1 8 |
| 37.9 | 26 | 1 0 10 |
| 38.3 | 43 | 1 1 0 |
| 47.8 | 29 | 1 1 9 |

[6]
For HgI2O6, a crystal structure in Alexandria, relaxed with GGA-PBE gives the computed X-ray powder pattern in this record (Cu Kα (λ = 1.5418 Å)).
Neutral-atom scattering factors, no anomalous dispersion.

Crystal structure
Cell: 10.2221 10.2221 5.3792 Å, 90.00 90.00 120.00°
Space group P3 (No. 143)
Unique sites:
Hg  0.0000  0.0000  0.0000
Hg  0.3333  0.6667  0.0689
Hg  0.6667  0.3333  0.5027
I  0.0017  0.3182  0.0075
I  0.3587  0.3581  0.4953
O  0.0767  0.2312  0.2242
O  0.1061  0.5717  0.3188
O  0.1809  0.4432  0.8445
O  0.2362  0.0804  0.7924
O  0.4283  0.2596  0.2940
O  0.5178  0.4210  0.7157

Peak list (8 most intense, 15 to 90 degrees two-theta, low angle first)
| 2theta | intensity | hkl |
| --- | --- | --- |
| 19.3 | 72 | 0 1 1 |
| 24.0 | 100 | 1 1 1 |
| 30.3 | 82 | 3 0 0 |
| 31.5 | 32 | 1 2 1 |
| 39.0 | 21 | 4 -2 1 |
| 40.4 | 24 | 4 -1 1 |
| 45.6 | 68 | 3 0 2 |
| 53.8 | 22 | 3 3 0 |

[7]
For SiH5O4, a crystal structure in Alexandria, relaxed with GGA-PBE gives the computed X-ray powder pattern in this record (Cu Kα (λ = 1.5418 Å)).
Neutral-atom scattering factors, no anomalous dispersion.

Crystal structure
Cell: 5.032 9.334 4.479 Å, 90.00 90.00 90.00°
Space group Pmmn (No. 59, origin choice 2)
Unique sites:
Si  0.250  0.250  0.180
H  0.097  0.099  0.654
H  0.250  0.750  0.001
O  0.011  0.750  0.030
O  0.250  0.062  0.538

Peak list (8 most intense, 15 to 90 degrees two-theta, low angle first)
| 2theta | intensity | hkl |
| --- | --- | --- |
| 19.0 | 37 | 0 2 0 |
| 20.0 | 72 | 1 1 0 |
| 27.6 | 100 | 0 2 1 |
| 32.9 | 25 | 1 2 1 |
| 38.6 | 13 | 0 4 0 |
| 39.6 | 21 | 1 3 1 |
| 41.2 | 14 | 2 0 1 |
| 58.6 | 15 | 2 2 2 |

[8]
For RbCdSn, a crystal structure in Alexandria, relaxed with GGA-PBE gives the computed X-ray powder pattern in this record (Cu Kα (λ = 1.5418 Å)).
Neutral-atom scattering factors, no anomalous dispersion.

Crystal structure
Cell: 4.526 7.367 7.633 Å, 99.19 107.24 107.88°
Space group P-1 (No. 2)
Unique sites:
Rb  0.202  0.124  0.280
Cd  0.060  0.447  0.674
Sn  0.370  0.657  0.084

Peak list (8 most intense, 15 to 90 degrees two-theta, low angle first)
| 2theta | intensity | hkl |
| --- | --- | --- |
| 27.4 | 100 | 1 -2 0 |
| 29.5 | 59 | 1 0 1 |
| 30.7 | 25 | 1 1 -2 |
| 32.5 | 41 | 0 2 1 |
| 37.1 | 21 | 0 1 -3 |
| 39.8 | 30 | -2 1 1 |
| 39.9 | 24 | -1 1 3 |
| 52.3 | 21 | 2 1 0 |

[9]
For DyPuI, a crystal structure in Alexandria, relaxed with GGA-PBE gives the computed X-ray powder pattern in this record (Cu Kα (λ = 1.5418 Å)).
Neutral-atom scattering factors, no anomalous dispersion.

Crystal structure
Cell: 13.852 4.145 6.443 Å, 90.00 97.95 90.00°
Space group P2_1/c (No. 14)
Unique sites:
Dy  0.197  0.014  0.274
Pu  0.002  0.750  0.426
I  0.353  0.505  0.173

Peak list (8 most intense, 15 to 90 degrees two-theta, low angle first)
| 2theta | intensity | hkl |
| --- | --- | --- |
| 19.4 | 50 | 3 0 0 |
| 27.9 | 64 | 2 1 -1 |
| 29.7 | 26 | 2 1 1 |
| 32.6 | 100 | 2 0 2 |
| 35.4 | 33 | 1 1 -2 |
| 38.2 | 26 | 4 1 1 |
| 39.4 | 39 | 6 0 0 |
| 45.7 | 37 | 2 2 0 |

[10]
For Si2AuSe, a crystal structure in Alexandria, relaxed with GGA-PBE gives the computed X-ray powder pattern in this record (Cu Kα (λ = 1.5418 Å)).
Neutral-atom scattering factors, no anomalous dispersion.

Crystal structure
Cell: 5.265 7.399 7.514 Å, 90.00 90.00 90.00°
Space group Fmmm (No. 69)
Unique sites:
Si  0.000  0.250  0.250
Au  0.000  0.000  0.000
Se  0.000  0.000  0.500

Peak list (8 most intense, 15 to 90 degrees two-theta, low angle first)
| 2theta | intensity | hkl |
| --- | --- | --- |
| 23.7 | 35 | 0 0 2 |
| 23.9 | 39 | 1 1 1 |
| 24.1 | 34 | 0 2 0 |
| 34.0 | 100 | 2 0 0 |
| 41.9 | 16 | 2 0 2 |
| 42.2 | 26 | 2 2 0 |
| 48.9 | 48 | 2 2 2 |
| 81.8 | 22 | 4 2 2 |

[11]
For Li3SbN2, a crystal structure in Alexandria, relaxed with GGA-PBE gives the computed X-ray powder pattern in this record (Cu Kα (λ = 1.5418 Å)).
Neutral-atom scattering factors, no anomalous dispersion.

Crystal structure
Cell: 6.979 6.979 18.024 Å, 90.00 90.00 90.00°
Space group I4_1/amd (No. 141, origin choice 2)
Unique sites:
Li  0.000  0.250  0.280
Li  0.223  0.027  0.375
Sb  0.000  0.250  0.002
N  0.000  0.017  0.687

Peak list (8 most intense, 15 to 90 degrees two-theta, low angle first)
| 2theta | intensity | hkl |
| --- | --- | --- |
| 19.5 | 100 | 1 0 3 |
| 19.7 | 52 | 0 0 4 |
| 25.5 | 58 | 2 0 0 |
| 29.0 | 52 | 2 1 1 |
| 32.5 | 83 | 2 0 4 |
| 38.1 | 24 | 2 1 5 |
| 41.7 | 31 | 2 2 4 |
| 63.0 | 23 | 4 2 4 |

[12]
For In2Hg3Pb5, a crystal structure in Alexandria, relaxed with GGA-PBE gives the computed X-ray powder pattern in this record (Cu Kα (λ = 1.5418 Å)).
Neutral-atom scattering factors, no anomalous dispersion.

Crystal structure
Cell: 5.937 10.116 10.126 Å, 98.04 98.95 98.87°
Space group P-1 (No. 2)
Unique sites:
In  0.108  0.128  0.132
In  0.391  0.369  0.372
Hg  0.110  0.735  0.522
Hg  0.250  0.452  0.049
Hg  0.389  0.977  0.764
Pb  0.027  0.198  0.812
Pb  0.112  0.522  0.726
Pb  0.250  0.050  0.450
Pb  0.389  0.775  0.979
Pb  0.474  0.689  0.303

Peak list (8 most intense, 15 to 90 degrees two-theta, low angle first)
| 2theta | intensity | hkl |
| --- | --- | --- |
| 30.1 | 75 | 0 3 1 |
| 30.8 | 100 | -2 1 1 |
| 33.1 | 85 | 1 2 -3 |
| 33.1 | 85 | 1 -3 2 |
| 33.7 | 71 | 1 0 3 |
| 38.9 | 87 | -1 1 4 |
| 56.3 | 35 | 3 1 -4 |
| 64.2 | 36 | 1 6 1 |

Please write out number 9 again, unchanged.
For DyPuI, a crystal structure in Alexandria, relaxed with GGA-PBE gives the computed X-ray powder pattern in this record (Cu Kα (λ = 1.5418 Å)).
Neutral-atom scattering factors, no anomalous dispersion.

Crystal structure
Cell: 13.852 4.145 6.443 Å, 90.00 97.95 90.00°
Space group P2_1/c (No. 14)
Unique sites:
Dy  0.197  0.014  0.274
Pu  0.002  0.750  0.426
I  0.353  0.505  0.173

Peak list (8 most intense, 15 to 90 degrees two-theta, low angle first)
| 2theta | intensity | hkl |
| --- | --- | --- |
| 19.4 | 50 | 3 0 0 |
| 27.9 | 64 | 2 1 -1 |
| 29.7 | 26 | 2 1 1 |
| 32.6 | 100 | 2 0 2 |
| 35.4 | 33 | 1 1 -2 |
| 38.2 | 26 | 4 1 1 |
| 39.4 | 39 | 6 0 0 |
| 45.7 | 37 | 2 2 0 |